The following is a calculated X-ray diffraction stick pattern of Pm2CdHg4. It was derived from a GGA-PBE-relaxed structure, using a wavelength of 1.5418 Å.
Kinematic intensities with the Lorentz-polarization factor, no thermal factor.

Peak list (12 most intense, 10 to 80 degrees two-theta, in order of rising 2θ)
- 2θ = 21.3°, intensity 8
- 2θ = 24.5°, intensity 25
- 2θ = 34.8°, intensity 100
- 2θ = 35.2°, intensity 100
- 2θ = 43.4°, intensity 6
- 2θ = 50.3°, intensity 35
- 2θ = 57.0°, intensity 6
- 2θ = 62.0°, intensity 17
- 2θ = 62.9°, intensity 36
- 2θ = 63.2°, intensity 19
- 2θ = 73.4°, intensity 11
- 2θ = 74.4°, intensity 12

Structural model:
Cell lengths 8.977, 8.977, 8.977 Å; angles 33.00, 33.00, 33.00 degrees
Atoms (fractional coordinates):
Pm 0.247 0.247 0.247
Pm 0.753 0.753 0.753
Cd 0.500 0.500 0.500
Hg 0.121 0.121 0.121
Hg 0.371 0.371 0.371
Hg 0.629 0.629 0.629
Hg 0.879 0.879 0.879

---

The following is a calculated X-ray diffraction stick pattern of BaGe3Rh. It was derived from a GGA-PBE-relaxed structure, using a wavelength of 1.5418 Å.
Kinematic intensities with the Lorentz-polarization factor, no thermal factor.

Peak list (12 most intense, 10 to 80 degrees two-theta, in order of rising 2θ)
- 2θ = 13.1°, intensity 32
- 2θ = 20.6°, intensity 38
- 2θ = 24.5°, intensity 43
- 2θ = 29.6°, intensity 55
- 2θ = 30.8°, intensity 100
- 2θ = 33.9°, intensity 93
- 2θ = 34.4°, intensity 46
- 2θ = 41.3°, intensity 46
- 2θ = 44.1°, intensity 53
- 2θ = 45.9°, intensity 30
- 2θ = 51.5°, intensity 36
- 2θ = 53.8°, intensity 30

Structural model:
Cell lengths 6.662, 6.767, 5.650 Å; angles 90.00, 90.00, 90.00 degrees
Atoms (fractional coordinates):
Ba 0.000 0.108 0.000
Ba 0.500 0.892 0.500
Ge 0.000 0.804 0.565
Ge 0.214 0.610 0.887
Ge 0.286 0.390 0.387
Ge 0.500 0.196 0.065
Ge 0.714 0.390 0.387
Ge 0.786 0.610 0.887
Rh 0.000 0.581 0.240
Rh 0.500 0.419 0.740

---

The following is a calculated X-ray diffraction stick pattern of U2ZnAs4. It was derived from a GGA-PBE-relaxed structure, using a wavelength of 1.5418 Å.
Kinematic intensities with the Lorentz-polarization factor, no thermal factor.

Peak list (12 most intense, 10 to 80 degrees two-theta, in order of rising 2θ)
- 2θ = 18.3°, intensity 19
- 2θ = 24.4°, intensity 47
- 2θ = 29.2°, intensity 17
- 2θ = 32.1°, intensity 17
- 2θ = 36.0°, intensity 33
- 2θ = 37.2°, intensity 100
- 2θ = 46.0°, intensity 30
- 2θ = 52.7°, intensity 29
- 2θ = 59.8°, intensity 16
- 2θ = 60.6°, intensity 12
- 2θ = 72.5°, intensity 18
- 2θ = 79.4°, intensity 26

Structural model:
Cell lengths 3.943, 3.943, 9.676 Å; angles 90.00, 90.00, 90.00 degrees
Atoms (fractional coordinates):
U 0.000 0.500 0.233
U 0.500 0.000 0.767
Zn 0.000 0.000 0.500
As 0.000 0.000 0.000
As 0.000 0.500 0.667
As 0.500 0.000 0.333
As 0.500 0.500 0.000